# 1
Simulated PXRD pattern
Compound: PbCN2
Radiation: Cu Kα, 1.54184 Å
Structure: the GGA-PBE geometry in the Materials Project
Lines closer than 0.1° are merged.

Peak list (12 most intense, 15° ≤ 2θ ≤ 90°, low angle first)
- 2θ = 17.45°, I = 63
- 2θ = 21.62°, I = 65
- 2θ = 23.95°, I = 57
- 2θ = 27.24°, I = 30
- 2θ = 28.83°, I = 47
- 2θ = 29.51°, I = 51
- 2θ = 31.60°, I = 100
- 2θ = 32.83°, I = 33
- 2θ = 35.79°, I = 26
- 2θ = 39.60°, I = 44
- 2θ = 44.01°, I = 24
- 2θ = 50.15°, I = 39

Structural model:
Lattice parameters (Å, degrees): 5.601 12.106 3.905 90.00 90.00 90.00
Space group Pna2_1 (No. 33)
Inequivalent atoms, fractional coordinates:
Pb (0.113, 0.134, 0.000) (multiplicity 4)
C (0.121, 0.399, 0.468) (multiplicity 4)
N (0.076, 0.645, 0.975) (multiplicity 4)
N (0.174, 0.939, 0.965) (multiplicity 4)

---

# 2
Simulated PXRD pattern
Compound: SrAl2O4
Radiation: Cu Kα, 1.54184 Å
Structure: the GGA-PBE geometry in the Materials Project
Lines closer than 0.1° are merged.

Peak list (12 most intense, 15° ≤ 2θ ≤ 90°, low angle first)
- 2θ = 19.75°, I = 47
- 2θ = 19.91°, I = 25
- 2θ = 28.07°, I = 100
- 2θ = 28.97°, I = 94
- 2θ = 29.63°, I = 77
- 2θ = 34.47°, I = 34
- 2θ = 34.76°, I = 77
- 2θ = 41.44°, I = 18
- 2θ = 42.38°, I = 22
- 2θ = 45.93°, I = 22
- 2θ = 46.67°, I = 27
- 2θ = 61.94°, I = 19

Structural model:
Lattice parameters (Å, degrees): 5.214 8.918 8.547 90.00 93.52 90.00
Space group P2_1 (No. 4)
Inequivalent atoms, fractional coordinates:
Sr (0.201, 0.000, 0.027) (multiplicity 2)
Sr (0.254, 0.007, 0.486) (multiplicity 2)
Al (0.204, 0.678, 0.319) (multiplicity 2)
Al (0.220, 0.678, 0.707) (multiplicity 2)
Al (0.274, 0.347, 0.200) (multiplicity 2)
Al (0.285, 0.340, 0.811) (multiplicity 2)
O (0.061, 0.806, 0.824) (multiplicity 2)
O (0.090, 0.177, 0.798) (multiplicity 2)
O (0.099, 0.494, 0.736) (multiplicity 2)
O (0.119, 0.724, 0.511) (multiplicity 2)
O (0.352, 0.500, 0.326) (multiplicity 2)
O (0.356, 0.394, 0.009) (multiplicity 2)
O (0.414, 0.824, 0.270) (multiplicity 2)
O (0.439, 0.180, 0.264) (multiplicity 2)

---

# 3
Simulated PXRD pattern
Compound: NaNbO3
Radiation: Cu Kα, 1.54184 Å
Structure: the GGA-PBE geometry in the Materials Project
Lines closer than 0.1° are merged.

Peak list (12 most intense, 15° ≤ 2θ ≤ 90°, low angle first)
- 2θ = 22.50°, I = 100
- 2θ = 31.90°, I = 20
- 2θ = 32.02°, I = 76
- 2θ = 32.18°, I = 18
- 2θ = 45.93°, I = 47
- 2θ = 51.55°, I = 7
- 2θ = 51.71°, I = 25
- 2θ = 56.94°, I = 25
- 2θ = 57.16°, I = 8
- 2θ = 57.28°, I = 18
- 2θ = 66.96°, I = 16
- 2θ = 76.16°, I = 12

Structural model:
Lattice parameters (Å, degrees): 5.612 7.909 5.563 90.00 90.00 90.00
Space group Pnma (No. 62)
Inequivalent atoms, fractional coordinates:
Na (0.016, 0.250, 0.001) (multiplicity 4)
Nb (0.000, 0.000, 0.500) (multiplicity 4)
O (0.011, 0.750, 0.436) (multiplicity 4)
O (0.215, 0.533, 0.786) (multiplicity 8)

---

Number 3 is which compound?
NaNbO3

---

What is the formula in the second record?
SrAl2O4